Co2As2PbO7: calculated powder diffraction line list (Cu Kα X-rays), based on a structure optimized by DFT (GGA+U).
No peak broadening, texture or thermal motion is included.

The 12 most intense peaks (10 to 90 degrees two-theta), in order of falling intensity:
two_theta	intensity
29.87	100
34.26	93
21.54	63
37.33	37
46.08	36
58.66	32
66.77	27
20.09	26
61.35	24
44.07	23
51.56	20
40.83	18

Structure:
abc: 7.2903 7.2903 7.2903
angles: 42.08 42.08 42.08
Fractional coordinates of all 12 atoms:
Co  0.1730  0.1730  0.1730
Co  0.8270  0.8270  0.8270
As  0.4142  0.4142  0.4142
As  0.5858  0.5858  0.5858
Pb  0.0000  0.0000  0.0000
O  0.0486  0.4288  0.8193
O  0.1807  0.5712  0.9514
O  0.4288  0.8193  0.0486
O  0.5000  0.5000  0.5000
O  0.5712  0.9514  0.1807
O  0.8193  0.0486  0.4288
O  0.9514  0.1807  0.5712